Record 1
Structure and calculated XRD peak list of TaSbO2F (the PBE geometry in Alexandria; Cu Kα (λ = 1.5418 Å)).
Peak positions follow from Bragg's law for the DFT cell and can differ from measured ones.

Unit cell a=4.0316 b=4.0316 c=4.4199 alpha=90.00 beta=90.00 gamma=90.00
Space group P4/mmm (No. 123)
Inequivalent atoms, fractional coordinates:
Ta (0.0000, 0.0000, 0.0000)
Sb (0.5000, 0.5000, 0.5000)
O (0.0000, 0.5000, 0.0000)
F (0.0000, 0.0000, 0.5000)

Principal peaks in the range 10 to 90 degrees two-theta, in order of rising 2θ:
2θ 22.05, d 4.032, rel. 8
2θ 30.00, d 2.979, rel. 100
2θ 31.38, d 2.851, rel. 47
2θ 40.83, d 2.210, rel. 17
2θ 44.97, d 2.016, rel. 26
2θ 52.38, d 1.747, rel. 23
2θ 55.00, d 1.669, rel. 37
2θ 62.35, d 1.489, rel. 19
2θ 67.71, d 1.384, rel. 10
2θ 80.12, d 1.198, rel. 9
2θ 85.02, d 1.141, rel. 11
2θ 88.54, d 1.104, rel. 13



Record 2
Structure and calculated XRD peak list of AcSn2Pd5 (the PBE geometry in Alexandria; Cu Kα (λ = 1.5418 Å)).
Peak positions follow from Bragg's law for the DFT cell and can differ from measured ones.

Unit cell a=4.3808 b=6.0606 c=12.5460 alpha=90.00 beta=90.00 gamma=90.00
Space group Immm (No. 71)
Inequivalent atoms, fractional coordinates:
Ac (0.0000, 0.0000, 0.0000)
Sn (0.0000, 0.5000, 0.2152)
Pd (0.0000, 0.2279, 0.3813)
Pd (0.0000, 0.5000, 0.0000)

Principal peaks in the range 10 to 90 degrees two-theta, in order of rising 2θ:
2θ 14.12, d 6.273, rel. 9
2θ 25.88, d 3.442, rel. 19
2θ 28.90, d 3.090, rel. 36
2θ 29.53, d 3.025, rel. 33
2θ 36.77, d 2.444, rel. 81
2θ 41.21, d 2.190, rel. 32
2θ 41.45, d 2.178, rel. 100
2θ 59.87, d 1.545, rel. 33
2θ 72.21, d 1.308, rel. 11
2θ 76.44, d 1.246, rel. 9
2θ 76.61, d 1.244, rel. 15
2θ 78.64, d 1.217, rel. 17



Record 3
Structure and calculated XRD peak list of CeDy3Ru4 (the PBE geometry in Alexandria; Cu Kα (λ = 1.5418 Å)).
Peak positions follow from Bragg's law for the DFT cell and can differ from measured ones.

Unit cell a=6.8187 b=6.8187 c=6.8187 alpha=90.00 beta=90.00 gamma=90.00
Space group Im-3m (No. 229)
Inequivalent atoms, fractional coordinates:
Ce (0.0000, 0.0000, 0.0000)
Dy (0.0000, 0.0000, 0.5000)
Ru (0.2500, 0.2500, 0.2500)

Principal peaks in the range 10 to 90 degrees two-theta, in order of rising 2θ:
2θ 26.14, d 3.409, rel. 5
2θ 37.30, d 2.411, rel. 100
2θ 46.11, d 1.968, rel. 2
2θ 53.77, d 1.705, rel. 17
2θ 60.74, d 1.525, rel. 2
2θ 67.27, d 1.392, rel. 35
2θ 79.52, d 1.205, rel. 11
2θ 85.43, d 1.136, rel. 1



Record 4
Structure and calculated XRD peak list of Dy2Tm2In3 (the PBE geometry in Alexandria; Cu Kα (λ = 1.5418 Å)).
Peak positions follow from Bragg's law for the DFT cell and can differ from measured ones.

Unit cell a=4.9825 b=4.9838 c=15.3763 alpha=90.00 beta=99.23 gamma=90.00
Space group C2/m (No. 12)
Inequivalent atoms, fractional coordinates:
Dy (0.0701, 0.0000, 0.1406)
Tm (0.2097, 0.0000, 0.4191)
In (0.0000, 0.5000, 0.0000)
In (0.1406, 0.5000, 0.2811)

Principal peaks in the range 10 to 90 degrees two-theta, in order of rising 2θ:
2θ 32.75, d 2.735, rel. 100
2θ 36.05, d 2.492, rel. 39
2θ 41.66, d 2.168, rel. 12
2θ 51.90, d 1.762, rel. 14
2θ 56.24, d 1.636, rel. 20
2θ 62.73, d 1.481, rel. 30
2θ 68.60, d 1.368, rel. 6
2θ 68.68, d 1.367, rel. 5
2θ 70.41, d 1.337, rel. 9
2θ 76.46, d 1.246, rel. 4
2θ 85.69, d 1.134, rel. 7
2θ 87.56, d 1.114, rel. 6



Record 5
Structure and calculated XRD peak list of TcBiRh2N (the PBE geometry in Alexandria; Cu Kα (λ = 1.5418 Å)).
Peak positions follow from Bragg's law for the DFT cell and can differ from measured ones.

Unit cell a=4.9962 b=4.9962 c=5.2347 alpha=90.00 beta=90.00 gamma=90.00
Space group P4/mmm (No. 123)
Inequivalent atoms, fractional coordinates:
Tc (0.0000, 0.0000, 0.0000)
Bi (0.0000, 0.0000, 0.5000)
Rh (0.0000, 0.5000, 0.5000)
N (0.5000, 0.5000, 0.0000)

Principal peaks in the range 10 to 90 degrees two-theta, in order of rising 2θ:
2θ 16.94, d 5.235, rel. 59
2θ 17.75, d 4.996, rel. 100
2θ 24.63, d 3.614, rel. 15
2θ 34.26, d 2.617, rel. 33
2θ 35.95, d 2.498, rel. 59
2θ 38.84, d 2.318, rel. 29
2θ 39.99, d 2.255, rel. 29
2θ 40.37, d 2.234, rel. 26
2θ 50.50, d 1.807, rel. 44
2θ 51.75, d 1.766, rel. 20
2θ 53.96, d 1.699, rel. 23
2θ 63.54, d 1.464, rel. 22